(1)
BaNdTl6: computed powder XRD pattern (Cu Kα (λ = 1.5418 Å)), based on a structure optimized by DFT (GGA-PBE).

Atomic structure:
```
BaNdTl6
1.0
4.9737 0.0000 0.0000
0.0000 4.9737 0.0000
0.0000 0.0000 9.9947
Ba Nd Tl
1 1 6
Direct
0.0000 0.0000 0.0000
0.0000 0.0000 0.5000
0.0000 0.5000 0.2627
0.0000 0.5000 0.7373
0.5000 0.0000 0.2627
0.5000 0.0000 0.7373
0.5000 0.5000 0.0000
0.5000 0.5000 0.5000
```

Peak list (8 most intense, 5° ≤ 2θ ≤ 70°, low angle first)
- 31.10 deg, I 100
- 35.94 deg, I 16
- 36.12 deg, I 34
- 51.87 deg, I 23
- 52.00 deg, I 12
- 61.61 deg, I 13
- 61.84 deg, I 29
- 64.84 deg, I 12

(2)
BaNd5Tl6: computed powder XRD pattern (Cu Kα (λ = 1.5418 Å)), based on a structure optimized by DFT (GGA-PBE).

Atomic structure:
```
BaNd5Tl6
1.0
8.9036 -3.9188 0.0000
8.9036 3.9188 0.0000
-1.7513 0.0000 5.3587
Ba Nd Tl
1 5 6
Direct
0.0000 0.0000 0.0000
0.1580 0.1580 0.6580
0.3292 0.3292 0.3287
0.5000 0.5000 0.0000
0.6708 0.6708 0.6713
0.8420 0.8420 0.3420
0.0883 0.5667 0.8273
0.2748 0.7252 0.5000
0.4333 0.9117 0.1727
0.5667 0.0883 0.8273
0.7252 0.2748 0.5000
0.9117 0.4333 0.1727
```

Peak list (8 most intense, 5° ≤ 2θ ≤ 70°, low angle first)
- 31.73 deg, I 100
- 31.97 deg, I 96
- 32.07 deg, I 96
- 45.34 deg, I 18
- 45.64 deg, I 18
- 56.61 deg, I 37
- 56.80 deg, I 37
- 57.25 deg, I 34